# Ca3TaO6
Calculated powder X-ray diffraction pattern, Cu Ka. Input: a DFT-relaxed cell (PBE, Alexandria).
Neutral-atom scattering factors, no anomalous dispersion.

Peak list (6 most intense, 10° ≤ 2θ ≤ 90°, sorted by position)
hkl	d (Å)	I_rel
1 1 0	4.780	88.4
0 1 2	4.632	100.0
2 0 2	3.327	75.2
1 2 2	2.730	76.5
4 -1 2	2.124	34.8
3 -1 4	2.084	49.9

Structure:
```
data_Ca3TaO6
_symmetry_space_group_name_H-M 'R -3'
_symmetry_Int_Tables_number 148
_symmetry_space_group_name_Hall '-R 3'
_cell_length_a 9.5610
_cell_length_b 9.5610
_cell_length_c 11.1759
_cell_angle_alpha 90.00
_cell_angle_beta 90.00
_cell_angle_gamma 120.00
loop_
_atom_site_label
_atom_site_type_symbol
_atom_site_fract_x
_atom_site_fract_y
_atom_site_fract_z
Ca1 Ca 0.0394 0.7712 0.2063
Ta1 Ta 0.0000 0.0000 0.0000
Ta2 Ta 0.0000 0.0000 0.5000
O1 O 0.0258 0.8468 0.8921
O2 O 0.0293 0.8386 0.4038
```